1.
Theoretical powder X-ray diffraction pattern
Compound: Li4CoO2F2
Radiation: copper Kα
Structure: a GGA+U-relaxed structure
Lines closer than 0.1° are merged.

Largest 10 diffraction maxima, by angle, 2θ from 10° to 90°:
| (hkl) | Position (°2θ) | d (Å) | I (rel.) |
| --- | --- | --- | --- |
| 0 0 1 | 17.1 | 5.182 | 38.3 |
| 2 0 -1 | 18.5 | 4.784 | 38.2 |
| 1 1 0 | 26.6 | 3.348 | 100.0 |
| 1 1 -1 | 27.7 | 3.219 | 88.5 |
| 2 0 1 | 36.3 | 2.473 | 51.2 |
| 3 1 -2 | 39.4 | 2.287 | 18.1 |
| 3 1 0 | 42.6 | 2.123 | 19.5 |
| 4 0 -3 | 44.5 | 2.036 | 31.0 |
| 0 2 0 | 49.1 | 1.855 | 24.9 |
| 3 1 1 | 54.2 | 1.693 | 23.7 |

Atomic structure:
```
data_Li4CoO2F2
_chemical_formula_sum 'Li8 Co2 O4 F4'
_cell_length_a 9.728
_cell_length_b 3.711
_cell_length_c 6.493
_cell_angle_alpha 90.00
_cell_angle_beta 127.04
_cell_angle_gamma 90.00
_space_group_name_H-M_alt 'C 1 2/m 1'
_space_group_IT_number 12
loop_
_space_group_symop_operation_xyz
'x,y,z'
'-x,-y,-z'
'-x,y,-z'
'x,-y,z'
'x+1/2,y+1/2,z'
'-x+1/2,-y+1/2,-z'
'-x+1/2,y+1/2,-z'
'x+1/2,-y+1/2,z'
loop_
_atom_site_label
_atom_site_type_symbol
_atom_site_fract_x
_atom_site_fract_y
_atom_site_fract_z
Li1 Li 0.146 0.000 0.029
Li2 Li 0.159 0.500 0.350
Co1 Co 0.000 0.000 0.500
O1 O 0.086 0.000 0.316
F1 F 0.232 0.500 0.136
```

2.
Theoretical powder X-ray diffraction pattern
Compound: LiCo5O5F
Radiation: copper Kα
Structure: a GGA+U-relaxed structure
Lines closer than 0.1° are merged.

Largest 10 diffraction maxima, by angle, 2θ from 10° to 90°:
| (hkl) | Position (°2θ) | d (Å) | I (rel.) |
| --- | --- | --- | --- |
| 0 0 2 | 11.3 | 7.831 | 18.4 |
| 1 0 0 | 31.4 | 2.852 | 74.0 |
| 0 0 6 | 34.4 | 2.610 | 49.5 |
| 0 1 3 | 35.9 | 2.503 | 100.0 |
| 0 1 6 | 47.2 | 1.926 | 30.6 |
| 1 1 0 | 55.8 | 1.647 | 45.4 |
| 0 1 9 | 62.5 | 1.486 | 38.5 |
| 1 1 6 | 67.2 | 1.393 | 34.7 |
| 2 0 3 | 68.2 | 1.376 | 14.6 |
| 2 0 9 | 88.7 | 1.103 | 13.2 |

Atomic structure:
```
data_LiCo5O5F
_chemical_formula_sum 'Li1 Co5 O5 F1'
_cell_length_a 3.2936
_cell_length_b 3.2936
_cell_length_c 15.6630
_cell_angle_alpha 90.00
_cell_angle_beta 90.00
_cell_angle_gamma 120.00
_space_group_name_H-M_alt 'P 3 m 1'
_space_group_IT_number 156
loop_
_space_group_symop_operation_xyz
'x,y,z'
'-y,x-y,z'
'-x+y,-x,z'
'-y,-x,z'
'-x+y,y,z'
'x,x-y,z'
loop_
_atom_site_label
_atom_site_type_symbol
_atom_site_fract_x
_atom_site_fract_y
_atom_site_fract_z
Li1 Li 0.0000 0.0000 0.0000
Co1 Co 0.0000 0.0000 0.3246
Co2 Co 0.0000 0.0000 0.6587
Co3 Co 0.3333 0.6667 0.1584
Co4 Co 0.3333 0.6667 0.4920
Co5 Co 0.3333 0.6667 0.8237
O1 O 0.0000 0.0000 0.1198
O2 O 0.0000 0.0000 0.4554
O3 O 0.0000 0.0000 0.7890
O4 O 0.3333 0.6667 0.2887
O5 O 0.3333 0.6667 0.6227
F1 F 0.3333 0.6667 0.9523
```

3.
Theoretical powder X-ray diffraction pattern
Compound: Li3Co3OF7
Radiation: copper Kα
Structure: a GGA+U-relaxed structure
Lines closer than 0.1° are merged.

Largest 10 diffraction maxima, by angle, 2θ from 10° to 90°:
| (hkl) | Position (°2θ) | d (Å) | I (rel.) |
| --- | --- | --- | --- |
| -1 1 1 | 17.9 | 4.956 | 100.0 |
| 1 0 -2 | 20.7 | 4.298 | 13.3 |
| -2 1 1 | 29.4 | 3.038 | 13.1 |
| 1 1 1 | 34.6 | 2.594 | 50.4 |
| 0 2 2 | 42.0 | 2.149 | 67.9 |
| -1 1 5 | 46.0 | 1.972 | 15.2 |
| 3 -3 1 | 55.6 | 1.653 | 11.0 |
| 2 0 4 | 60.9 | 1.522 | 20.9 |
| 2 -4 0 | 61.1 | 1.518 | 20.5 |
| 3 1 -3 | 64.0 | 1.454 | 11.4 |

Atomic structure:
```
data_Li3Co3OF7
_chemical_formula_sum 'Li6 Co6 O2 F14'
_cell_length_a 6.070
_cell_length_b 6.072
_cell_length_c 10.533
_cell_angle_alpha 90.16
_cell_angle_beta 106.67
_cell_angle_gamma 119.83
_space_group_name_H-M_alt 'P 1'
_space_group_IT_number 1
loop_
_space_group_symop_operation_xyz
'x,y,z'
loop_
_atom_site_label
_atom_site_type_symbol
_atom_site_fract_x
_atom_site_fract_y
_atom_site_fract_z
Li1 Li 0.000 0.000 0.000
Li2 Li 0.000 0.500 0.500
Li3 Li 0.257 0.114 0.371
Li4 Li 0.257 0.614 0.871
Li5 Li 0.630 0.054 0.685
Li6 Li 0.630 0.554 0.185
Co1 Co 0.119 0.034 0.678
Co2 Co 0.119 0.535 0.178
Co3 Co 0.643 0.059 0.178
Co4 Co 0.644 0.296 0.940
Co5 Co 0.644 0.559 0.678
Co6 Co 0.645 0.798 0.441
O1 O 0.870 0.195 0.064
O2 O 0.870 0.694 0.565
F1 F 0.388 0.181 0.570
F2 F 0.388 0.446 0.306
F3 F 0.389 0.681 0.070
F4 F 0.389 0.945 0.806
F5 F 0.393 0.410 0.803
F6 F 0.393 0.910 0.303
F7 F 0.399 0.195 0.065
F8 F 0.399 0.695 0.565
F9 F 0.860 0.417 0.806
F10 F 0.860 0.917 0.306
F11 F 0.869 0.165 0.565
F12 F 0.870 0.430 0.300
F13 F 0.870 0.666 0.065
F14 F 0.870 0.931 0.800
```

4.
Theoretical powder X-ray diffraction pattern
Compound: LiCo6O2F10
Radiation: copper Kα
Structure: a GGA+U-relaxed structure
Lines closer than 0.1° are merged.

Largest 10 diffraction maxima, by angle, 2θ from 10° to 90°:
| (hkl) | Position (°2θ) | d (Å) | I (rel.) |
| --- | --- | --- | --- |
| 1 -1 0 | 25.6 | 3.474 | 100.0 |
| 1 1 0 | 26.4 | 3.371 | 94.2 |
| 1 0 -3 | 34.4 | 2.610 | 78.0 |
| 1 0 3 | 34.5 | 2.603 | 29.4 |
| 1 -1 3 | 39.0 | 2.312 | 16.8 |
| -2 1 3 | 51.0 | 1.789 | 50.3 |
| 2 -1 3 | 51.2 | 1.785 | 20.2 |
| 2 1 -3 | 52.0 | 1.760 | 27.4 |
| 2 -2 0 | 52.7 | 1.737 | 19.5 |
| 0 0 6 | 59.7 | 1.548 | 24.3 |

Atomic structure:
```
data_LiCo6O2F10
_chemical_formula_sum 'Li1 Co6 O2 F10'
_cell_length_a 4.829
_cell_length_b 4.853
_cell_length_c 9.289
_cell_angle_alpha 90.11
_cell_angle_beta 90.16
_cell_angle_gamma 91.73
_space_group_name_H-M_alt 'P 1'
_space_group_IT_number 1
loop_
_space_group_symop_operation_xyz
'x,y,z'
loop_
_atom_site_label
_atom_site_type_symbol
_atom_site_fract_x
_atom_site_fract_y
_atom_site_fract_z
Li1 Li 0.000 0.000 0.000
Co1 Co 0.003 0.502 0.501
Co2 Co 0.044 0.530 0.169
Co3 Co 0.499 0.993 0.326
Co4 Co 0.500 0.002 0.000
Co5 Co 0.505 0.011 0.675
Co6 Co 0.957 0.472 0.831
O1 O 0.297 0.857 0.150
O2 O 0.704 0.146 0.851
F1 F 0.200 0.313 0.671
F2 F 0.217 0.328 0.995
F3 F 0.228 0.331 0.334
F4 F 0.253 0.827 0.850
F5 F 0.294 0.821 0.504
F6 F 0.711 0.183 0.496
F7 F 0.747 0.176 0.150
F8 F 0.776 0.672 0.666
F9 F 0.782 0.675 0.006
F10 F 0.804 0.691 0.330
```

Which formula does entry 1 have?
Li4CoO2F2